Entry 1:
For SbRhBr2, the GGA-PBE geometry in Alexandria gives the theoretical PXRD pattern in this record (Cu Kα (weighted mean of Kα1 and Kα2)).
Lines closer than 0.1° are merged.

The 10 most intense peaks (15° ≤ 2θ ≤ 90°), by angle:
2θ (°)	intensity
26.11	26.6
28.08	100.0
28.17	39.8
33.39	40.8
33.55	24.2
40.91	49.3
41.11	30.8
46.06	69.4
49.79	19.3
50.03	32.4

Cell and atoms:
```
data_SbRhBr2
_cell_length_a 6.8260
_cell_length_b 3.9408
_cell_length_c 8.6468
_cell_angle_alpha 90.00
_cell_angle_beta 90.38
_cell_angle_gamma 90.00
_space_group_name_H-M_alt 'C 1 m 1'
_space_group_IT_number 8
loop_
_space_group_symop_operation_xyz
'x,y,z'
'x,-y,z'
'x+1/2,y+1/2,z'
'x+1/2,-y+1/2,z'
loop_
_atom_site_label
_atom_site_type_symbol
_atom_site_fract_x
_atom_site_fract_y
_atom_site_fract_z
Sb1 Sb 0.0000 0.0000 0.0000
Rh1 Rh 0.1655 0.5000 0.8647
Br1 Br 0.0035 0.0000 0.2902
Br2 Br 0.3308 0.0000 0.6900
```

---

Entry 2:
For Na2ZrBr6, the GGA-PBE geometry in Alexandria gives the theoretical PXRD pattern in this record (Cu Kα (weighted mean of Kα1 and Kα2)).
Lines closer than 0.1° are merged.

The 10 most intense peaks (15° ≤ 2θ ≤ 90°), by angle:
2θ (°)	intensity
27.16	58.0
27.67	73.6
27.85	63.4
28.12	100.0
28.59	58.6
30.56	58.3
31.22	51.4
37.93	45.3
38.04	53.0
49.69	44.0

Cell and atoms:
```
data_Na2ZrBr6
_cell_length_a 7.1385
_cell_length_b 7.5375
_cell_length_c 12.7499
_cell_angle_alpha 90.00
_cell_angle_beta 121.63
_cell_angle_gamma 90.00
_space_group_name_H-M_alt 'P 1 21/c 1'
_space_group_IT_number 14
loop_
_space_group_symop_operation_xyz
'x,y,z'
'-x,-y,-z'
'-x,y+1/2,-z+1/2'
'x,-y+1/2,z+1/2'
loop_
_atom_site_label
_atom_site_type_symbol
_atom_site_fract_x
_atom_site_fract_y
_atom_site_fract_z
Na1 Na 0.1803 0.0882 0.2227
Zr1 Zr 0.5000 0.0000 0.0000
Br1 Br 0.1474 0.1908 0.9446
Br2 Br 0.2528 0.7097 0.9167
Br3 Br 0.4258 0.0638 0.7759
```

---

Entry 3:
For BaAcH8Pt2, the GGA-PBE geometry in Alexandria gives the theoretical PXRD pattern in this record (Cu Kα (weighted mean of Kα1 and Kα2)).
Lines closer than 0.1° are merged.

The 10 most intense peaks (15° ≤ 2θ ≤ 90°), by angle:
2θ (°)	intensity
26.35	100.0
35.40	52.3
36.01	11.6
39.71	25.1
44.67	24.7
54.24	10.0
58.24	22.8
63.56	9.8
64.26	10.5
66.46	11.2

Cell and atoms:
```
data_BaAcH8Pt2
_cell_length_a 5.0710
_cell_length_b 5.0710
_cell_length_c 21.2091
_cell_angle_alpha 90.00
_cell_angle_beta 90.00
_cell_angle_gamma 120.00
_space_group_name_H-M_alt 'R -3 m'
_space_group_IT_number 166
_space_group_name_Hall '-R 3 2"'
loop_
_atom_site_label
_atom_site_type_symbol
_atom_site_fract_x
_atom_site_fract_y
_atom_site_fract_z
Ba1 Ba 0.0000 0.0000 0.0000
Ac1 Ac 0.0000 0.0000 0.5000
H1 H 0.0000 0.0000 0.1520
H2 H 0.0052 0.5026 0.0618
Pt1 Pt 0.0000 0.0000 0.2322
```

---

Entry 4:
For Sc5Cd2Co2, the GGA-PBE geometry in Alexandria gives the theoretical PXRD pattern in this record (Cu Kα (weighted mean of Kα1 and Kα2)).
Lines closer than 0.1° are merged.

The 10 most intense peaks (15° ≤ 2θ ≤ 90°), by angle:
2θ (°)	intensity
22.39	19.3
26.36	17.5
28.70	35.0
34.85	100.0
37.39	19.9
37.62	36.9
42.67	21.8
44.19	23.9
51.51	18.8
68.99	21.7

Cell and atoms:
```
data_Sc5Cd2Co2
_cell_length_a 15.8858
_cell_length_b 6.7540
_cell_length_c 6.7698
_cell_angle_alpha 90.00
_cell_angle_beta 90.00
_cell_angle_gamma 90.00
_space_group_name_H-M_alt 'C m c e'
_space_group_IT_number 64
_space_group_name_Hall '-C 2ac 2'
loop_
_atom_site_label
_atom_site_type_symbol
_atom_site_fract_x
_atom_site_fract_y
_atom_site_fract_z
Sc1 Sc 0.0000 0.0000 0.0000
Sc2 Sc 0.1162 0.1913 0.3124
Cd1 Cd 0.2295 0.0000 0.0000
Co1 Co 0.0000 0.1152 0.6157
```